Calculated XRD peak list
Compound: Sr2Au
Radiation: Cu Kα (weighted mean of Kα1 and Kα2)
Structure: a cell relaxed with PBE
Intensities are scaled so that the largest is 100.

Top 10 peaks for 2θ from 15° to 90°, low angle first:
- 23.3 deg, intensity 42.8
- 28.2 deg, intensity 100.0
- 30.8 deg, intensity 19.4
- 36.9 deg, intensity 20.2
- 40.3 deg, intensity 77.1
- 42.2 deg, intensity 20.7
- 49.9 deg, intensity 27.6
- 66.0 deg, intensity 24.0
- 66.1 deg, intensity 12.0
- 73.3 deg, intensity 26.7

Cell and atoms:
Cell: 8.953 8.953 8.953 Å, 120.07 120.07 89.87°
Positions (direct):
Sr: 0.240 0.495 0.745
Sr: 0.245 0.490 0.245
Sr: 0.245 0.999 0.755
Sr: 0.246 0.000 0.246
Sr: 0.749 0.495 0.255
Sr: 0.750 0.004 0.254
Sr: 0.750 0.496 0.746
Sr: 0.754 0.000 0.754
Au: 0.498 0.247 0.250
Au: 0.997 0.247 0.250
Au: 0.997 0.247 0.750
Au: 0.997 0.748 0.750